# Si2Ni3Pt
Computed powder diffraction line list, Cu Kα (weighted mean of Kα1 and Kα2). Input: a crystal structure in OQMD, relaxed with PBE.

```
6
Lattice="3.506 0.000 0.000 0.000 3.506 0.000 0.000 0.000 6.010" Properties=species:S:1:pos:R:3 pbc="T T T"
Si 0.000 0.000 0.000
Si 1.753 1.753 2.993
Ni 0.000 1.753 4.553
Ni 1.753 0.000 4.553
Ni 1.753 1.753 0.692
Pt 0.000 0.000 2.326
```

Principal peaks in the range 2θ from 5° to 70°, sorted by position:
| 2θ/deg | I_rel |
| --- | --- |
| 14.74 | 25 |
| 25.40 | 24 |
| 29.49 | 54 |
| 36.23 | 21 |
| 39.31 | 100 |
| 39.49 | 64 |
| 47.54 | 36 |
| 52.17 | 43 |
| 52.61 | 21 |
| 67.36 | 26 |



# Sm3NiPt8
Computed powder diffraction line list, Cu Kα (weighted mean of Kα1 and Kα2). Input: a crystal structure in OQMD, relaxed with PBE.

```
12
Lattice="2.718 1.569 8.721 -2.718 1.569 8.721 0.000 -3.139 8.721" Properties=species:S:1:pos:R:3 pbc="T T T"
Sm 0.000 0.000 0.000
Sm 0.000 0.000 3.668
Sm 0.000 0.000 22.494
Ni 0.000 0.000 13.081
Pt -1.364 -0.788 11.012
Pt 0.000 0.000 8.707
Pt 0.000 -1.575 15.150
Pt -1.364 0.788 15.150
Pt 1.364 -0.788 11.012
Pt 0.000 1.575 11.012
Pt 0.000 0.000 17.455
Pt 1.364 0.788 15.150
```

Principal peaks in the range 2θ from 5° to 70°, sorted by position:
| 2θ/deg | I_rel |
| --- | --- |
| 30.54 | 17 |
| 32.95 | 16 |
| 38.40 | 46 |
| 39.05 | 100 |
| 40.74 | 30 |
| 41.42 | 27 |
| 42.09 | 50 |
| 42.59 | 18 |
| 62.95 | 25 |
| 69.12 | 31 |



# TmNiSnPt
Computed powder diffraction line list, Cu Kα (weighted mean of Kα1 and Kα2). Input: a crystal structure in OQMD, relaxed with PBE.

```
8
Lattice="4.464 0.000 0.000 -2.232 3.866 0.000 0.000 0.000 8.717" Properties=species:S:1:pos:R:3 pbc="T T T"
Tm 0.000 2.577 0.000
Tm 2.232 1.289 4.359
Ni 0.000 2.577 5.803
Ni 2.232 1.289 1.444
Sn 0.000 0.000 2.094
Sn 0.000 0.000 6.453
Pt 0.000 2.577 3.003
Pt 2.232 1.289 7.361
```

Principal peaks in the range 2θ from 5° to 70°, sorted by position:
| 2θ/deg | I_rel |
| --- | --- |
| 20.38 | 9 |
| 23.01 | 12 |
| 25.20 | 19 |
| 30.92 | 40 |
| 38.77 | 100 |
| 40.41 | 100 |
| 51.74 | 10 |
| 57.24 | 32 |
| 67.63 | 9 |
| 69.06 | 14 |



# Sr2NiPt
Computed powder diffraction line list, Cu Kα (weighted mean of Kα1 and Kα2). Input: a crystal structure in OQMD, relaxed with PBE.

```
16
Lattice="7.134 0.000 0.000 0.000 7.134 0.000 0.000 0.000 7.134" Properties=species:S:1:pos:R:3 pbc="T T T"
Sr 0.000 0.000 0.000
Sr 0.000 3.567 3.567
Sr 1.784 1.784 1.784
Sr 1.784 5.351 5.351
Sr 3.567 0.000 3.567
Sr 3.567 3.567 0.000
Sr 5.351 1.784 5.351
Sr 5.351 5.351 1.784
Ni 1.784 1.784 5.351
Ni 1.784 5.351 1.784
Ni 5.351 1.784 1.784
Ni 5.351 5.351 5.351
Pt 0.000 0.000 3.567
Pt 0.000 3.567 0.000
Pt 3.567 0.000 0.000
Pt 3.567 3.567 3.567
```

Principal peaks in the range 2θ from 5° to 70°, sorted by position:
| 2θ/deg | I_rel |
| --- | --- |
| 21.57 | 14 |
| 24.96 | 10 |
| 35.59 | 100 |
| 42.00 | 8 |
| 43.96 | 3 |
| 51.22 | 18 |
| 56.20 | 3 |
| 57.80 | 4 |
| 63.93 | 36 |
| 68.32 | 3 |



# UNi4Pt
Computed powder diffraction line list, Cu Kα (weighted mean of Kα1 and Kα2). Input: a crystal structure in OQMD, relaxed with PBE.

```
6
Lattice="0.000 3.425 3.425 3.425 0.000 3.425 3.425 3.425 0.000" Properties=species:S:1:pos:R:3 pbc="T T T"
U 0.000 0.000 0.000
Ni 2.571 2.571 2.571
Ni 4.279 4.279 2.571
Ni 4.279 2.571 4.279
Ni 2.571 4.279 4.279
Pt 5.137 5.137 5.137
```

Principal peaks in the range 2θ from 5° to 70°, sorted by position:
| 2θ/deg | I_rel |
| --- | --- |
| 22.48 | 28 |
| 26.02 | 1 |
| 37.13 | 77 |
| 43.84 | 100 |
| 45.90 | 11 |
| 53.52 | 2 |
| 58.76 | 7 |
| 66.93 | 29 |



# TbPu2Ni9
Computed powder diffraction line list, Cu Kα (weighted mean of Kα1 and Kα2). Input: a crystal structure in OQMD, relaxed with PBE.

```
12
Lattice="2.395 1.383 8.120 -2.395 1.383 8.120 0.000 -2.766 8.120" Properties=species:S:1:pos:R:3 pbc="T T T"
Tb 0.000 0.000 0.000
Pu 0.000 0.000 3.583
Pu 0.000 0.000 20.776
Ni -1.194 -0.689 10.139
Ni 0.000 0.000 8.107
Ni 0.000 -1.378 14.219
Ni -1.194 0.689 14.219
Ni 0.000 0.000 12.179
Ni 1.194 -0.689 10.139
Ni 0.000 1.378 10.139
Ni 0.000 0.000 16.251
Ni 1.194 0.689 14.219
```

Principal peaks in the range 2θ from 5° to 70°, sorted by position:
| 2θ/deg | I_rel |
| --- | --- |
| 10.90 | 22 |
| 21.73 | 12 |
| 21.89 | 10 |
| 33.62 | 42 |
| 36.61 | 17 |
| 37.55 | 41 |
| 43.87 | 100 |
| 44.64 | 11 |
| 65.27 | 13 |
| 67.35 | 9 |



# TmPu2Ni9
Computed powder diffraction line list, Cu Kα (weighted mean of Kα1 and Kα2). Input: a crystal structure in OQMD, relaxed with PBE.

```
12
Lattice="2.384 1.377 8.112 -2.384 1.377 8.112 0.000 -2.753 8.112" Properties=species:S:1:pos:R:3 pbc="T T T"
Tm 0.000 0.000 0.000
Pu 0.000 0.000 3.582
Pu 0.000 0.000 20.754
Ni -1.188 -0.686 10.122
Ni 0.000 0.000 8.098
Ni 0.000 -1.372 14.214
Ni -1.188 0.686 14.214
Ni 0.000 0.000 12.168
Ni 1.188 -0.686 10.122
Ni 0.000 1.372 10.122
Ni 0.000 0.000 16.238
Ni 1.188 0.686 14.214
```

Principal peaks in the range 2θ from 5° to 70°, sorted by position:
| 2θ/deg | I_rel |
| --- | --- |
| 10.91 | 19 |
| 21.87 | 24 |
| 33.70 | 43 |
| 36.69 | 17 |
| 37.73 | 41 |
| 44.04 | 100 |
| 44.68 | 11 |
| 46.57 | 8 |
| 65.55 | 13 |
| 67.54 | 9 |



# RbNi8
Computed powder diffraction line list, Cu Kα (weighted mean of Kα1 and Kα2). Input: a crystal structure in OQMD, relaxed with PBE.

```
18
Lattice="0.000 3.842 11.198 2.961 0.000 11.198 2.961 3.842 0.000" Properties=species:S:1:pos:R:3 pbc="T T T"
Rb 0.740 0.960 2.799
Rb 5.181 6.723 19.596
Ni 2.791 1.837 7.329
Ni 3.240 3.644 5.644
Ni 3.240 2.118 11.153
Ni 4.720 4.039 11.243
Ni 1.202 2.118 5.644
Ni 1.650 1.837 9.468
Ni 4.271 3.758 15.067
Ni 2.791 3.925 9.468
Ni 3.131 3.758 12.928
Ni 1.650 3.925 7.329
Ni 4.271 5.846 12.928
Ni 4.720 5.565 16.752
Ni 1.202 3.644 11.153
Ni 2.682 5.565 11.243
Ni 2.682 4.039 16.752
Ni 3.131 5.846 15.067
```

Principal peaks in the range 2θ from 5° to 70°, sorted by position:
| 2θ/deg | I_rel |
| --- | --- |
| 15.83 | 13 |
| 31.25 | 19 |
| 33.92 | 53 |
| 40.22 | 28 |
| 43.48 | 27 |
| 45.69 | 100 |
| 47.32 | 16 |
| 47.75 | 27 |
| 48.79 | 23 |
| 56.90 | 17 |



# Rb3Ni2
Computed powder diffraction line list, Cu Kα (weighted mean of Kα1 and Kα2). Input: a crystal structure in OQMD, relaxed with PBE.

```
10
Lattice="4.345 2.509 7.850 -4.345 2.509 7.850 0.000 -5.017 7.850" Properties=species:S:1:pos:R:3 pbc="T T T"
Rb -3.030 -0.231 9.813
Rb -1.315 -2.740 13.738
Rb 1.715 -2.509 9.813
Rb -1.715 2.509 13.738
Rb 1.315 2.740 9.813
Rb 3.030 0.231 13.738
Ni 0.000 0.000 3.526
Ni 0.000 0.000 8.250
Ni 0.000 0.000 15.302
Ni 0.000 0.000 20.025
```

Principal peaks in the range 2θ from 5° to 70°, sorted by position:
| 2θ/deg | I_rel |
| --- | --- |
| 13.96 | 18 |
| 23.40 | 100 |
| 28.14 | 16 |
| 30.69 | 56 |
| 35.03 | 13 |
| 35.79 | 46 |
| 40.23 | 23 |
| 43.21 | 15 |
| 47.85 | 14 |
| 59.83 | 11 |



# Rb2Ni3S4
Computed powder diffraction line list, Cu Kα (weighted mean of Kα1 and Kα2). Input: a crystal structure in OQMD, relaxed with PBE.

```
9
Lattice="0.000 4.999 6.999 2.952 0.000 6.999 2.952 4.999 0.000" Properties=species:S:1:pos:R:3 pbc="T T T"
Rb 2.952 4.999 2.208
Rb 2.952 4.999 11.791
Ni 1.476 2.499 0.000
Ni 1.476 2.499 6.999
Ni 2.952 4.999 6.999
S 2.952 3.322 5.565
S 2.952 3.322 8.434
S 2.952 6.676 5.565
S 2.952 6.676 8.434
```

Principal peaks in the range 2θ from 5° to 70°, sorted by position:
| 2θ/deg | I_rel |
| --- | --- |
| 12.65 | 85 |
| 21.85 | 41 |
| 25.92 | 100 |
| 31.48 | 25 |
| 35.31 | 45 |
| 36.46 | 71 |
| 39.95 | 29 |
| 53.29 | 47 |
| 53.75 | 23 |
| 64.19 | 23 |



# Rb2Ni3S4
Computed powder diffraction line list, Cu Kα (weighted mean of Kα1 and Kα2). Input: a crystal structure in OQMD, relaxed with PBE.

```
18
Lattice="-2.771 5.502 6.280 2.771 -5.502 6.280 2.771 5.502 -6.280" Properties=species:S:1:pos:R:3 pbc="T T T"
Rb 1.319 1.350 0.000
Rb 1.319 -1.350 6.280
Rb 1.451 6.852 0.000
Rb 1.451 4.151 6.280
Ni 2.771 2.817 -3.140
Ni 2.771 0.000 3.140
Ni 0.000 2.685 3.140
Ni 2.771 2.817 3.140
Ni 0.000 5.502 3.140
Ni 0.000 2.685 9.420
S 1.452 -1.407 2.043
S 1.318 4.095 -2.043
S 4.089 1.407 2.043
S 1.452 1.407 4.237
S 1.318 4.095 2.043
S -1.318 4.095 4.237
S 1.452 1.407 8.323
S 1.318 6.909 4.237
```

Principal peaks in the range 2θ from 5° to 70°, sorted by position:
| 2θ/deg | I_rel |
| --- | --- |
| 23.87 | 21 |
| 28.42 | 29 |
| 31.33 | 100 |
| 35.41 | 36 |
| 35.63 | 36 |
| 46.52 | 41 |
| 54.98 | 25 |
| 55.13 | 24 |
| 55.42 | 17 |
| 57.31 | 16 |



# RbSmNiS3
Computed powder diffraction line list, Cu Kα (weighted mean of Kα1 and Kα2). Input: a crystal structure in OQMD, relaxed with PBE.

```
24
Lattice="11.102 0.000 0.000 0.000 4.175 0.000 0.000 0.000 12.115" Properties=species:S:1:pos:R:3 pbc="T T T"
Rb 1.823 1.044 0.112
Rb 3.728 3.131 6.170
Rb 7.373 1.044 5.945
Rb 9.279 3.131 12.003
Sm 0.134 1.044 8.008
Sm 5.416 3.131 1.951
Sm 5.685 1.044 10.165
Sm 10.967 3.131 4.107
Ni 2.702 1.044 3.556
Ni 2.849 3.131 9.614
Ni 8.253 1.044 2.502
Ni 8.399 3.131 8.560
S 0.623 3.131 9.809
S 1.288 1.044 5.397
S 2.510 3.131 2.799
S 3.040 1.044 8.857
S 4.263 3.131 11.455
S 4.928 1.044 3.752
S 6.173 3.131 8.364
S 6.839 1.044 0.661
S 8.061 3.131 3.259
S 8.591 1.044 9.316
S 9.814 3.131 6.718
S 10.479 1.044 2.306
```

Principal peaks in the range 2θ from 5° to 70°, sorted by position:
| 2θ/deg | I_rel |
| --- | --- |
| 23.44 | 69 |
| 25.16 | 50 |
| 27.15 | 88 |
| 27.73 | 72 |
| 30.59 | 44 |
| 31.87 | 59 |
| 33.71 | 43 |
| 35.61 | 100 |
| 37.57 | 45 |
| 43.34 | 48 |



# RbNiSbTe3
Computed powder diffraction line list, Cu Kα (weighted mean of Kα1 and Kα2). Input: a crystal structure in OQMD, relaxed with PBE.

```
12
Lattice="2.265 -7.159 0.000 2.265 7.159 0.000 0.000 0.000 12.323" Properties=species:S:1:pos:R:3 pbc="T T T"
Rb 2.265 4.055 9.242
Rb 2.265 -4.055 3.081
Ni 2.265 5.986 3.081
Ni 2.265 -5.986 9.242
Sb 2.265 0.000 0.000
Sb 2.265 0.000 6.162
Te 2.265 5.194 0.676
Te 2.265 5.194 5.486
Te 2.265 0.087 9.242
Te 2.265 -0.087 3.081
Te 2.265 -5.194 6.838
Te 2.265 -5.194 11.647
```

Principal peaks in the range 2θ from 5° to 70°, sorted by position:
| 2θ/deg | I_rel |
| --- | --- |
| 12.36 | 32 |
| 14.31 | 24 |
| 27.14 | 100 |
| 28.11 | 20 |
| 28.98 | 33 |
| 30.02 | 29 |
| 38.60 | 19 |
| 39.79 | 29 |
| 40.12 | 30 |
| 49.95 | 21 |